No. 1
Starting from DFT lattice parameters and positions (PBE), the powder diffraction line list of Cs3BiAu6 was computed for Cu Kα (λ = 1.5418 Å).
No peak broadening, texture or thermal motion is included.

Largest 10 diffraction maxima, in order of falling intensity, 5° ≤ 2θ ≤ 70°:
- 10.71°, rel. 100, hkl 0 0 1
- 31.17°, rel. 46, hkl 1 1 -3
- 35.58°, rel. 27, hkl 2 2 1
- 21.99°, rel. 16, hkl 1 1 -2
- 30.45°, rel. 12, hkl 2 2 0
- 40.00°, rel. 11, hkl 4 0 1
- 36.63°, rel. 10, hkl 4 2 -2
- 25.97°, rel. 10, hkl 2 0 -3
- 34.73°, rel. 10, hkl 5 1 -2
- 41.72°, rel. 9, hkl 4 2 0

Atomic structure:
```
data_Cs3BiAu6
_chemical_formula_sum 'Cs6 Bi2 Au12'
_symmetry_space_group_name_H-M 'C 1 2/m 1'
_symmetry_Int_Tables_number 12
_cell_length_a 13.975
_cell_length_b 6.915
_cell_length_c 10.393
_cell_angle_alpha 90.00
_cell_angle_beta 127.36
_cell_angle_gamma 90.00
loop_
_symmetry_equiv_pos_as_xyz
'x,y,z'
'-x,-y,-z'
'-x,y,-z'
'x,-y,z'
'x+1/2,y+1/2,z'
'-x+1/2,-y+1/2,-z'
'-x+1/2,y+1/2,-z'
'x+1/2,-y+1/2,z'
loop_
_atom_site_label
_atom_site_fract_x
_atom_site_fract_y
_atom_site_fract_z
Cs1 0.000 0.000 0.000
Cs2 0.235 0.000 0.760
Bi1 0.000 0.500 0.500
Au1 0.066 0.203 0.367
Au2 0.239 0.500 0.575
```



No. 2
Starting from DFT lattice parameters and positions (PBE), the powder diffraction line list of CeHoHg5 was computed for Cu Kα (λ = 1.5418 Å).
No peak broadening, texture or thermal motion is included.

Largest 10 diffraction maxima, in order of falling intensity, 5° ≤ 2θ ≤ 70°:
- 34.06°, rel. 100, hkl 2 0 2
- 38.73°, rel. 35, hkl 2 2 0
- 57.74°, rel. 22, hkl 2 2 4
- 41.10°, rel. 15, hkl 0 0 4
- 67.05°, rel. 15, hkl 2 4 2
- 67.20°, rel. 14, hkl 4 2 2
- 10.07°, rel. 11, hkl 0 0 1
- 55.81°, rel. 6, hkl 0 4 0
- 56.04°, rel. 6, hkl 4 0 0
- 28.99°, rel. 5, hkl 2 0 1

Atomic structure:
```
data_CeHoHg5
_chemical_formula_sum 'Ce2 Ho2 Hg10'
_symmetry_space_group_name_H-M 'C m m m'
_symmetry_Int_Tables_number 65
_symmetry_space_group_name_Hall '-C 2 2'
_cell_length_a 6.564
_cell_length_b 6.589
_cell_length_c 8.786
_cell_angle_alpha 90.00
_cell_angle_beta 90.00
_cell_angle_gamma 90.00
loop_
_atom_site_label
_atom_site_fract_x
_atom_site_fract_y
_atom_site_fract_z
Ce1 0.000 0.000 0.000
Ho1 0.000 0.500 0.500
Hg1 0.000 0.000 0.500
Hg2 0.250 0.250 0.248
```



No. 3
Starting from DFT lattice parameters and positions (PBE), the powder diffraction line list of NdSBr was computed for Cu Kα (λ = 1.5418 Å).
No peak broadening, texture or thermal motion is included.

Largest 10 diffraction maxima, in order of falling intensity, 5° ≤ 2θ ≤ 70°:
- 21.99°, rel. 100, hkl 1 2 1
- 31.43°, rel. 87, hkl 1 4 1
- 36.15°, rel. 51, hkl 2 0 2
- 43.07°, rel. 44, hkl 3 2 1
- 25.62°, rel. 28, hkl 2 0 0
- 42.35°, rel. 26, hkl 1 2 3
- 38.48°, rel. 25, hkl 2 2 2
- 31.06°, rel. 25, hkl 1 2 2
- 25.06°, rel. 20, hkl 0 0 2
- 46.83°, rel. 18, hkl 0 6 2

Atomic structure:
```
data_NdSBr
_chemical_formula_sum 'Nd8 S8 Br8'
_symmetry_space_group_name_H-M 'P b c a'
_symmetry_Int_Tables_number 61
_cell_length_a 6.956
_cell_length_b 13.888
_cell_length_c 7.107
_cell_angle_alpha 90.00
_cell_angle_beta 90.00
_cell_angle_gamma 90.00
loop_
_symmetry_equiv_pos_as_xyz
'x,y,z'
'-x,-y,-z'
'-x+1/2,-y,z+1/2'
'x+1/2,y,-z+1/2'
'x+1/2,-y+1/2,-z'
'-x+1/2,y+1/2,z'
'-x,y+1/2,-z+1/2'
'x,-y+1/2,z+1/2'
loop_
_atom_site_label
_atom_site_fract_x
_atom_site_fract_y
_atom_site_fract_z
Nd1 0.242 0.092 0.033
S1 0.001 0.023 0.742
Br1 0.147 0.709 0.386
```



No. 4
Starting from DFT lattice parameters and positions (PBE), the powder diffraction line list of Pu2Ga7Co was computed for Cu Kα (λ = 1.5418 Å).
No peak broadening, texture or thermal motion is included.

Largest 10 diffraction maxima, in order of falling intensity, 5° ≤ 2θ ≤ 70°:
- 34.76°, rel. 100, hkl 1 1 2
- 33.07°, rel. 71, hkl 1 0 3
- 43.43°, rel. 48, hkl 2 0 0
- 55.65°, rel. 33, hkl 2 1 3
- 47.81°, rel. 32, hkl 1 0 5
- 22.90°, rel. 27, hkl 1 0 1
- 30.33°, rel. 26, hkl 1 1 0
- 66.55°, rel. 24, hkl 2 1 5
- 63.10°, rel. 16, hkl 2 2 0
- 60.74°, rel. 12, hkl 1 1 6

Atomic structure:
```
data_Pu2Ga7Co
_chemical_formula_sum 'Pu2 Ga7 Co1'
_symmetry_space_group_name_H-M 'P -4 m 2'
_symmetry_Int_Tables_number 115
_cell_length_a 4.168
_cell_length_b 4.168
_cell_length_c 10.692
_cell_angle_alpha 90.00
_cell_angle_beta 90.00
_cell_angle_gamma 90.00
loop_
_symmetry_equiv_pos_as_xyz
'x,y,z'
'y,-x,-z'
'-x,-y,z'
'-y,x,-z'
'-x,y,z'
'-y,-x,-z'
'x,-y,z'
'y,x,-z'
loop_
_atom_site_label
_atom_site_fract_x
_atom_site_fract_y
_atom_site_fract_z
Pu1 0.000 0.500 0.240
Ga1 0.000 0.000 0.000
Ga2 0.000 0.000 0.500
Ga3 0.000 0.500 0.645
Ga4 0.000 0.500 0.874
Ga5 0.500 0.500 0.500
Co1 0.500 0.500 0.000
```



No. 5
Starting from DFT lattice parameters and positions (PBE), the powder diffraction line list of NaPr3C2N6 was computed for Cu Kα (λ = 1.5418 Å).
No peak broadening, texture or thermal motion is included.

Largest 10 diffraction maxima, in order of falling intensity, 5° ≤ 2θ ≤ 70°:
- 23.43°, rel. 100, hkl 1 0 1
- 32.35°, rel. 75, hkl 1 1 0
- 34.38°, rel. 65, hkl 0 1 2
- 40.33°, rel. 41, hkl 0 2 1
- 47.92°, rel. 31, hkl 2 0 2
- 52.61°, rel. 27, hkl 2 1 1
- 55.37°, rel. 25, hkl 1 1 3
- 59.00°, rel. 24, hkl 1 2 2
- 57.69°, rel. 14, hkl 3 0 0
- 67.71°, rel. 11, hkl 2 2 0

Atomic structure:
```
data_NaPr3C2N6
_chemical_formula_sum 'Na1 Pr3 C2 N6'
_symmetry_space_group_name_H-M 'P -3 m 1'
_symmetry_Int_Tables_number 164
_symmetry_space_group_name_Hall '-P 3 2"'
_cell_length_a 5.5355
_cell_length_b 5.5355
_cell_length_c 6.2192
_cell_angle_alpha 90.00
_cell_angle_beta 90.00
_cell_angle_gamma 120.00
loop_
_atom_site_label
_atom_site_fract_x
_atom_site_fract_y
_atom_site_fract_z
Na1 0.0000 0.0000 0.0000
Pr1 0.0000 0.0000 0.5000
Pr2 0.3333 0.6667 0.1615
C1 0.3333 0.6667 0.7492
N1 0.1914 0.3828 0.7662
```



No. 6
Starting from DFT lattice parameters and positions (PBE), the powder diffraction line list of CsTiTcO6 was computed for Cu Kα (λ = 1.5418 Å).
No peak broadening, texture or thermal motion is included.

Largest 10 diffraction maxima, in order of falling intensity, 5° ≤ 2θ ≤ 70°:
- 23.66°, rel. 100, hkl 1 0 1
- 43.87°, rel. 32, hkl 2 -1 2
- 34.06°, rel. 22, hkl 1 1 0
- 55.05°, rel. 18, hkl 3 -1 1
- 41.89°, rel. 15, hkl 0 2 1
- 45.52°, rel. 12, hkl 1 0 3
- 26.83°, rel. 11, hkl 0 0 2
- 58.05°, rel. 11, hkl 0 2 3
- 33.36°, rel. 9, hkl 0 1 2
- 69.04°, rel. 8, hkl 2 1 3

Atomic structure:
```
data_CsTiTcO6
_chemical_formula_sum 'Cs1 Ti1 Tc1 O6'
_symmetry_space_group_name_H-M 'P 3'
_symmetry_Int_Tables_number 143
_cell_length_a 5.2649
_cell_length_b 5.2649
_cell_length_c 6.6469
_cell_angle_alpha 90.00
_cell_angle_beta 90.00
_cell_angle_gamma 120.00
loop_
_symmetry_equiv_pos_as_xyz
'x,y,z'
'-y,x-y,z'
'-x+y,-x,z'
loop_
_atom_site_label
_atom_site_fract_x
_atom_site_fract_y
_atom_site_fract_z
Cs1 0.0000 0.0000 0.0000
Ti1 0.3333 0.6667 0.5591
Tc1 0.6667 0.3333 0.4851
O1 0.4047 0.3976 0.3509
O2 0.4275 0.0167 0.6862
```